This entry pairs a crystal structure of CsLiCoCl4 with its calculated powder XRD pattern. Radiation: λ = 1.5418 Å (Cu Kα). Structure: a DFT-relaxed cell (GGA-PBE, Alexandria).

Largest 8 diffraction maxima, by intensity, 2θ from 10° to 90°:
d_spacing, 2θ (°), intensity, h k l
4.518, 19.6, 100, 1 1 0
3.206, 27.8, 72, 1 0 2
4.276, 20.8, 71, 1 0 -2
3.901, 22.8, 65, 0 1 2
3.594, 24.8, 57, 0 2 0
3.057, 29.2, 51, 1 2 0
3.131, 28.5, 49, 1 0 -3
3.043, 29.3, 46, 1 2 -1

Structural model:
Lattice parameters (Å, degrees): 6.064 7.189 9.697 90.00 106.70 90.00
Fractional coordinates of all 14 atoms:
Cs 0.230 0.250 0.368
Cs 0.770 0.750 0.632
Li 0.384 0.750 0.005
Li 0.616 0.250 0.995
Co 0.124 0.250 0.797
Co 0.876 0.750 0.203
Cl 0.005 0.250 0.994
Cl 0.161 0.750 0.411
Cl 0.371 0.006 0.811
Cl 0.371 0.494 0.811
Cl 0.629 0.506 0.189
Cl 0.629 0.994 0.189
Cl 0.839 0.250 0.589
Cl 0.995 0.750 0.006